Y2CO4: theoretical XRD peak list (Cu Kα, 1.54184 Å), based on the PBE geometry in Alexandria.
Peak positions follow from Bragg's law for the DFT cell and can differ from measured ones.

Top 12 peaks for 2θ from 10° to 80°, in order of rising 2θ:
| hkl | Position (°2θ) | I_rel |
| --- | --- | --- |
| 1 0 1 | 26.4 | 84 |
| 0 0 4 | 27.8 | 35 |
| 1 0 3 | 33.1 | 100 |
| 1 1 0 | 36.4 | 78 |
| 1 1 2 | 39.1 | 19 |
| 1 0 5 | 43.7 | 27 |
| 1 1 4 | 46.4 | 78 |
| 2 0 0 | 52.4 | 44 |
| 1 0 7 | 56.6 | 36 |
| 2 1 1 | 59.6 | 19 |
| 2 0 4 | 60.3 | 17 |
| 2 1 3 | 63.4 | 31 |

Cell and atoms:
```
data_Y2CO4
_chemical_formula_sum 'Y4 C2 O8'
_space_group_name_H-M_alt 'I 4/m m m'
_space_group_IT_number 139
_space_group_name_Hall '-I 4 2'
_cell_length_a 3.494
_cell_length_b 3.494
_cell_length_c 12.848
_cell_angle_alpha 90.00
_cell_angle_beta 90.00
_cell_angle_gamma 90.00
loop_
_atom_site_label
_atom_site_fract_x
_atom_site_fract_y
_atom_site_fract_z
_atom_site_occupancy
Y1 0.000 0.000 0.138 1
C1 0.000 0.000 0.500 1
O1 0.000 0.000 0.313 1
O2 0.000 0.500 0.000 1
```